Starting from DFT lattice parameters and positions (GGA-PBE), the PXRD pattern of NpTeAs was calculated for Cu Kα (weighted mean of Kα1 and Kα2).
Kinematic intensities with the Lorentz-polarization factor, no thermal factor.

Most intense lines, 15 to 90 degrees two-theta, in order of rising 2θ:
d/Å, two_theta, I (rel.), (hkl)
3.738, 23.80, 57, 1 0 1
2.916, 30.66, 61, 1 1 0
2.770, 32.32, 37, 1 1 1
2.435, 36.92, 100, 1 1 2
2.399, 37.50, 89, 1 0 3
2.062, 43.91, 57, 2 0 0
1.626, 56.61, 33, 1 0 5
1.564, 59.08, 48, 2 1 3

Cell and atoms:
a = 4.1242 Å, b = 4.1242 Å, c = 8.8459 Å
α = 90.00°, β = 90.00°, γ = 90.00°
Space group P4/nmm (No. 129, origin choice 2)
Asymmetric unit:
Np: 0.2500 0.2500 0.2499 x2
Te: 0.2500 0.2500 0.6318 x2
As: 0.2500 0.7500 0.0000 x2